[1]
# PrSnAu2
Theoretical PXRD pattern, Cu Kα (λ = 1.5418 Å). Input: a DFT-relaxed cell (GGA-PBE, the Materials Project).

Structural model:
Cell lengths 7.223, 7.223, 7.223 Å; angles 90.00, 90.00, 90.00 degrees
Fractional coordinates of all 16 atoms:
Pr  0.000  0.000  0.000
Pr  0.000  0.500  0.500
Pr  0.500  0.000  0.500
Pr  0.500  0.500  0.000
Sn  0.000  0.000  0.500
Sn  0.000  0.500  0.000
Sn  0.500  0.000  0.000
Sn  0.500  0.500  0.500
Au  0.250  0.250  0.250
Au  0.250  0.250  0.750
Au  0.250  0.750  0.250
Au  0.250  0.750  0.750
Au  0.750  0.250  0.250
Au  0.750  0.250  0.750
Au  0.750  0.750  0.250
Au  0.750  0.750  0.750

Most intense lines, 2θ = 10–90°, sorted by position:
| 2theta | I_rel |
| --- | --- |
| 24.65 | 5 |
| 35.14 | 100 |
| 43.40 | 2 |
| 50.55 | 18 |
| 57.02 | 2 |
| 63.05 | 37 |
| 74.28 | 12 |
| 84.92 | 17 |

=====

[2]
# MgZr3
Theoretical PXRD pattern, Cu Kα (λ = 1.5418 Å). Input: a DFT-relaxed cell (GGA-PBE, the Materials Project).

Structural model:
Cell lengths 6.362, 6.362, 5.169 Å; angles 90.00, 90.00, 120.00 degrees
Fractional coordinates of all 8 atoms:
Mg  0.333  0.667  0.250
Mg  0.667  0.333  0.750
Zr  0.168  0.337  0.750
Zr  0.168  0.832  0.750
Zr  0.337  0.168  0.250
Zr  0.663  0.832  0.750
Zr  0.832  0.168  0.250
Zr  0.832  0.663  0.250

Most intense lines, 2θ = 10–90°, sorted by position:
| 2theta | I_rel |
| --- | --- |
| 23.60 | 17 |
| 32.50 | 24 |
| 34.71 | 27 |
| 36.98 | 100 |
| 48.29 | 15 |
| 57.98 | 17 |
| 63.71 | 19 |
| 69.38 | 20 |

=====

[3]
# Mn3SbN
Theoretical PXRD pattern, Cu Kα (λ = 1.5418 Å). Input: a DFT-relaxed cell (GGA-PBE, the Materials Project).

Structural model:
Cell lengths 3.913, 3.913, 3.913 Å; angles 90.00, 90.00, 90.00 degrees
Fractional coordinates of all 5 atoms:
Mn  0.000  0.000  0.500
Mn  0.000  0.500  0.000
Mn  0.500  0.000  0.000
Sb  0.500  0.500  0.500
N  0.000  0.000  0.000

Most intense lines, 2θ = 10–90°, sorted by position:
| 2theta | I_rel |
| --- | --- |
| 22.73 | 10 |
| 32.36 | 22 |
| 39.91 | 100 |
| 46.41 | 57 |
| 57.71 | 8 |
| 67.74 | 34 |
| 81.61 | 34 |
| 86.08 | 11 |

=====

[4]
# Li17Mn4As8
Theoretical PXRD pattern, Cu Kα (λ = 1.5418 Å). Input: a DFT-relaxed cell (GGA-PBE, the Materials Project).

Structural model:
Cell lengths 6.138, 8.640, 8.666 Å; angles 89.59, 89.98, 89.94 degrees
Fractional coordinates of all 29 atoms:
Li  0.000  0.000  0.000
Li  0.000  0.259  0.260
Li  0.020  0.509  0.524
Li  0.030  0.259  0.760
Li  0.256  0.013  0.253
Li  0.259  0.503  0.262
Li  0.469  0.262  0.760
Li  0.486  0.509  0.526
Li  0.491  0.011  0.520
Li  0.499  0.000  0.996
Li  0.504  0.518  0.000
Li  0.506  0.258  0.260
Li  0.523  0.759  0.241
Li  0.746  0.254  0.008
Li  0.749  0.265  0.509
Li  0.749  0.757  0.499
Li  0.987  0.759  0.244
Mn  0.002  0.514  0.003
Mn  0.008  0.762  0.763
Mn  0.013  0.011  0.518
Mn  0.492  0.760  0.765
As  0.250  0.263  0.020
As  0.251  0.257  0.500
As  0.251  0.757  0.013
As  0.254  0.762  0.505
As  0.753  0.011  0.754
As  0.754  0.510  0.758
As  0.756  0.013  0.270
As  0.756  0.505  0.262

Most intense lines, 2θ = 10–90°, sorted by position:
| 2theta | I_rel |
| --- | --- |
| 14.43 | 16 |
| 25.18 | 100 |
| 29.09 | 12 |
| 41.61 | 30 |
| 41.74 | 45 |
| 41.82 | 15 |
| 49.24 | 23 |
| 49.51 | 11 |

=====

[5]
# Ag2Hg5
Theoretical PXRD pattern, Cu Kα (λ = 1.5418 Å). Input: a DFT-relaxed cell (GGA-PBE, the Materials Project).

Structural model:
Cell lengths 10.263, 10.263, 3.090 Å; angles 90.00, 90.00, 90.00 degrees
Fractional coordinates of all 14 atoms:
Ag  0.181  0.319  0.000
Ag  0.319  0.819  0.000
Ag  0.681  0.181  0.000
Ag  0.819  0.681  0.000
Hg  0.000  0.500  0.500
Hg  0.063  0.799  0.500
Hg  0.201  0.063  0.500
Hg  0.299  0.563  0.500
Hg  0.437  0.299  0.500
Hg  0.500  0.000  0.500
Hg  0.563  0.701  0.500
Hg  0.701  0.437  0.500
Hg  0.799  0.937  0.500
Hg  0.937  0.201  0.500

Most intense lines, 2θ = 10–90°, sorted by position:
| 2theta | I_rel |
| --- | --- |
| 27.48 | 48 |
| 28.89 | 50 |
| 35.00 | 56 |
| 36.08 | 100 |
| 37.17 | 37 |
| 40.30 | 81 |
| 43.21 | 43 |
| 71.89 | 54 |

=====

[6]
# EuNbO3
Theoretical PXRD pattern, Cu Kα (λ = 1.5418 Å). Input: a DFT-relaxed cell (GGA-PBE, the Materials Project).

Structural model:
Cell lengths 5.735, 5.735, 5.735 Å; angles 119.91, 90.56, 119.45 degrees
Fractional coordinates of all 10 atoms:
Eu  0.259  0.009  0.250
Eu  0.741  0.991  0.750
Nb  0.000  0.500  0.500
Nb  0.500  0.500  0.000
O  0.180  0.430  0.750
O  0.288  0.000  0.788
O  0.288  0.500  0.288
O  0.712  0.000  0.212
O  0.712  0.500  0.712
O  0.820  0.570  0.250

Most intense lines, 2θ = 10–90°, sorted by position:
| 2theta | I_rel |
| --- | --- |
| 30.92 | 19 |
| 31.18 | 100 |
| 44.46 | 23 |
| 44.92 | 11 |
| 55.17 | 17 |
| 55.48 | 24 |
| 65.05 | 13 |
| 73.60 | 10 |

=====

[7]
# Pm2CuPt
Theoretical PXRD pattern, Cu Kα (λ = 1.5418 Å). Input: a DFT-relaxed cell (GGA-PBE, the Materials Project).

Structural model:
Cell lengths 7.150, 7.150, 7.150 Å; angles 90.00, 90.00, 90.00 degrees
Fractional coordinates of all 16 atoms:
Pm  0.250  0.250  0.250
Pm  0.250  0.250  0.750
Pm  0.250  0.750  0.250
Pm  0.250  0.750  0.750
Pm  0.750  0.250  0.250
Pm  0.750  0.250  0.750
Pm  0.750  0.750  0.250
Pm  0.750  0.750  0.750
Cu  0.000  0.000  0.000
Cu  0.000  0.500  0.500
Cu  0.500  0.000  0.500
Cu  0.500  0.500  0.000
Pt  0.000  0.000  0.500
Pt  0.000  0.500  0.000
Pt  0.500  0.000  0.000
Pt  0.500  0.500  0.500

Most intense lines, 2θ = 10–90°, sorted by position:
| 2theta | I_rel |
| --- | --- |
| 21.53 | 11 |
| 35.51 | 100 |
| 41.91 | 6 |
| 51.10 | 18 |
| 56.07 | 3 |
| 63.77 | 36 |
| 75.17 | 11 |
| 85.99 | 16 |